Record 1
For La4Nd3Al4, DFT lattice parameters and positions (PBE) gives the simulated X-ray powder pattern in this record (Cu Kα X-rays).
Intensities are scaled so that the largest is 100.

Peak list (12 most intense, 5° ≤ 2θ ≤ 70°, sorted by position)
two_theta, intensity
20.7, 19.3
22.0, 22.7
25.0, 45.5
27.9, 31.9
28.8, 89.2
30.4, 100.0
32.4, 21.9
34.5, 65.3
39.7, 34.4
48.9, 35.6
52.0, 21.6
53.6, 37.2

```
La4Nd3Al4
1.0
-2.273 4.375 8.580
2.273 -4.375 8.580
2.273 4.375 -8.580
La Nd Al
4 3 4
Direct
0.018 0.839 0.180 La
0.341 0.161 0.180 La
0.659 0.839 0.820 La
0.982 0.161 0.820 La
0.000 0.500 0.500 Nd
0.388 0.388 0.000 Nd
0.612 0.612 0.000 Nd
0.249 0.749 0.500 Al
0.343 0.000 0.343 Al
0.657 0.000 0.657 Al
0.751 0.251 0.500 Al
```


Record 2
For Be4TlCd, DFT lattice parameters and positions (PBE) gives the simulated X-ray powder pattern in this record (Cu Kα X-rays).
Intensities are scaled so that the largest is 100.

Peak list (9 most intense, 5° ≤ 2θ ≤ 70°, sorted by position)
two_theta, intensity
22.3, 100.0
25.9, 7.9
36.9, 88.8
43.6, 65.9
45.6, 2.7
53.2, 13.3
58.4, 23.0
60.0, 3.5
66.5, 31.5

```
Be4TlCd
1.0
0.000 3.445 3.445
3.445 0.000 3.445
3.445 3.445 0.000
Be Tl Cd
4 1 1
Direct
0.378 0.378 0.378 Be
0.378 0.378 0.867 Be
0.378 0.867 0.378 Be
0.867 0.378 0.378 Be
0.000 0.000 0.000 Tl
0.750 0.750 0.750 Cd
```


Record 3
For MnRu5, DFT lattice parameters and positions (PBE) gives the simulated X-ray powder pattern in this record (Cu Kα X-rays).
Intensities are scaled so that the largest is 100.

Peak list (12 most intense, 5° ≤ 2θ ≤ 70°, sorted by position)
two_theta, intensity
20.9, 1.1
21.9, 2.0
30.5, 3.4
38.5, 25.3
42.5, 24.9
44.2, 100.0
44.7, 0.8
48.3, 0.5
58.7, 14.3
63.4, 0.6
64.7, 0.6
69.6, 16.4

```
MnRu5
1.0
4.680 0.000 0.000
-2.340 4.053 0.000
0.000 0.000 4.253
Mn Ru
1 5
Direct
0.000 0.000 0.000 Mn
0.000 0.673 0.500 Ru
0.327 0.327 0.500 Ru
0.333 0.667 0.000 Ru
0.667 0.333 0.000 Ru
0.673 0.000 0.500 Ru
```


Record 4
For In9HgBi2, DFT lattice parameters and positions (PBE) gives the simulated X-ray powder pattern in this record (Cu Kα X-rays).
Intensities are scaled so that the largest is 100.

Peak list (12 most intense, 5° ≤ 2θ ≤ 70°, sorted by position)
two_theta, intensity
17.4, 2.5
18.8, 4.2
25.7, 4.1
26.8, 1.9
32.1, 100.0
35.2, 19.2
38.2, 31.4
52.9, 23.7
55.1, 10.7
61.2, 14.8
65.2, 25.5
67.1, 11.5

```
In9HgBi2
1.0
4.712 0.000 0.000
0.000 4.712 0.000
0.000 0.000 15.294
In Hg Bi
9 1 2
Direct
0.000 0.000 0.000 In
0.000 0.000 0.338 In
0.000 0.000 0.662 In
0.000 0.500 0.163 In
0.000 0.500 0.500 In
0.000 0.500 0.837 In
0.500 0.000 0.163 In
0.500 0.000 0.500 In
0.500 0.000 0.837 In
0.500 0.500 0.000 Hg
0.500 0.500 0.328 Bi
0.500 0.500 0.672 Bi
```


Record 5
For Co4Ni4Pt, DFT lattice parameters and positions (PBE) gives the simulated X-ray powder pattern in this record (Cu Kα X-rays).
Intensities are scaled so that the largest is 100.

Peak list (12 most intense, 5° ≤ 2θ ≤ 70°, sorted by position)
two_theta, intensity
16.5, 14.9
23.4, 7.5
27.6, 11.1
33.3, 6.3
36.5, 13.8
37.4, 5.0
43.8, 100.0
50.2, 4.1
50.9, 31.3
51.2, 15.6
62.4, 2.2
66.8, 3.2

```
Co4Ni4Pt
1.0
-3.804 3.804 1.785
3.804 -3.804 1.785
3.804 3.804 -1.785
Co Ni Pt
4 4 1
Direct
0.000 0.341 0.341 Co
0.000 0.659 0.659 Co
0.341 0.000 0.341 Co
0.659 0.000 0.659 Co
0.328 0.328 0.656 Ni
0.328 0.672 0.000 Ni
0.672 0.328 0.000 Ni
0.672 0.672 0.344 Ni
0.000 0.000 0.000 Pt
```


Record 6
For Ca2SmCuS4, DFT lattice parameters and positions (PBE) gives the simulated X-ray powder pattern in this record (Cu Kα X-rays).
Intensities are scaled so that the largest is 100.

Peak list (12 most intense, 5° ≤ 2θ ≤ 70°, sorted by position)
two_theta, intensity
13.6, 37.6
13.9, 10.7
26.4, 22.0
27.4, 33.5
28.0, 10.7
31.7, 52.1
32.1, 100.0
45.4, 35.9
45.6, 17.9
46.1, 34.4
46.5, 16.4
56.6, 18.1

```
Ca2SmCuS4
1.0
6.802 0.000 0.000
0.000 3.983 0.000
-2.440 0.000 6.490
Ca Sm Cu S
2 1 1 4
Direct
0.000 0.000 0.000 Ca
0.500 0.500 0.000 Ca
0.000 0.500 0.500 Sm
0.500 0.000 0.500 Cu
0.246 0.000 0.751 S
0.266 0.500 0.269 S
0.734 0.500 0.731 S
0.754 0.000 0.249 S
```


Record 7
For Hf4CdCo, DFT lattice parameters and positions (PBE) gives the simulated X-ray powder pattern in this record (Cu Kα X-rays).
Intensities are scaled so that the largest is 100.

Peak list (12 most intense, 5° ≤ 2θ ≤ 70°, sorted by position)
two_theta, intensity
12.6, 19.8
25.3, 30.4
26.2, 16.7
29.4, 58.7
33.2, 41.4
36.6, 35.8
37.2, 100.0
38.3, 20.8
41.0, 36.7
46.8, 27.4
51.4, 19.5
63.6, 17.9

```
Hf4CdCo
1.0
4.966 0.000 0.000
0.000 3.879 0.000
-1.098 0.000 7.044
Hf Cd Co
4 1 1
Direct
0.053 0.000 0.306 Hf
0.441 0.500 0.714 Hf
0.559 0.500 0.286 Hf
0.947 0.000 0.694 Hf
0.000 0.500 0.000 Cd
0.500 0.000 0.500 Co
```


Record 8
For Ba5YTl6, DFT lattice parameters and positions (PBE) gives the simulated X-ray powder pattern in this record (Cu Kα X-rays).
Intensities are scaled so that the largest is 100.

Peak list (12 most intense, 5° ≤ 2θ ≤ 70°, sorted by position)
two_theta, intensity
21.0, 5.2
29.7, 19.2
30.2, 100.0
42.8, 14.3
43.6, 4.8
48.3, 4.2
53.1, 9.8
53.5, 15.5
53.8, 5.2
57.9, 4.5
61.5, 4.8
62.7, 5.2

```
Ba5YTl6
1.0
9.482 -4.156 0.000
9.482 4.156 0.000
-1.848 0.000 5.645
Ba Y Tl
5 1 6
Direct
0.000 0.000 0.000 Ba
0.160 0.160 0.660 Ba
0.314 0.314 0.315 Ba
0.686 0.686 0.685 Ba
0.840 0.840 0.340 Ba
0.500 0.500 0.000 Y
0.132 0.566 0.850 Tl
0.295 0.705 0.500 Tl
0.434 0.868 0.150 Tl
0.566 0.132 0.850 Tl
0.705 0.295 0.500 Tl
0.868 0.434 0.150 Tl
```


Record 9
For SmYPa, DFT lattice parameters and positions (PBE) gives the simulated X-ray powder pattern in this record (Cu Kα X-rays).
Intensities are scaled so that the largest is 100.

Peak list (12 most intense, 5° ≤ 2θ ≤ 70°, sorted by position)
two_theta, intensity
10.2, 33.9
29.9, 6.9
31.0, 32.4
31.7, 100.0
36.6, 71.8
43.6, 6.8
52.2, 22.6
53.1, 22.8
62.0, 17.0
62.8, 26.4
63.1, 14.1
66.2, 12.9

```
SmYPa
1.0
3.451 0.000 0.000
-1.726 2.989 0.000
0.000 0.000 8.643
Sm Y Pa
1 1 1
Direct
0.000 0.000 0.000 Sm
0.667 0.333 0.363 Y
0.333 0.667 0.681 Pa
```


Record 10
For Tb3DyAs4, DFT lattice parameters and positions (PBE) gives the simulated X-ray powder pattern in this record (Cu Kα X-rays).
Intensities are scaled so that the largest is 100.

Peak list (6 most intense, 5° ≤ 2θ ≤ 70°, sorted by position)
two_theta, intensity
26.4, 22.3
30.6, 100.0
43.8, 74.6
51.9, 11.0
54.4, 26.3
63.7, 12.2

```
Tb3DyAs4
1.0
5.842 0.000 0.000
0.000 5.842 0.000
0.000 0.000 5.842
Tb Dy As
3 1 4
Direct
0.000 0.000 0.500 Tb
0.000 0.500 0.000 Tb
0.500 0.000 0.000 Tb
0.500 0.500 0.500 Dy
0.000 0.000 0.000 As
0.000 0.500 0.500 As
0.500 0.000 0.500 As
0.500 0.500 0.000 As
```


Record 11
For La6Al5Fe9, DFT lattice parameters and positions (PBE) gives the simulated X-ray powder pattern in this record (Cu Kα X-rays).
Intensities are scaled so that the largest is 100.

Peak list (12 most intense, 5° ≤ 2θ ≤ 70°, sorted by position)
two_theta, intensity
7.4, 61.2
24.6, 32.9
26.8, 87.2
30.8, 100.0
34.6, 69.9
36.0, 39.3
37.3, 65.8
37.8, 62.3
42.1, 32.6
45.8, 47.6
49.7, 60.9
56.8, 33.4

```
La6Al5Fe9
1.0
-4.102 4.102 11.914
4.102 -4.102 11.914
4.102 4.102 -11.914
La Al Fe
12 10 18
Direct
0.019 0.519 0.160 La
0.106 0.106 0.000 La
0.141 0.981 0.500 La
0.359 0.859 0.840 La
0.394 0.394 0.000 La
0.481 0.641 0.500 La
0.519 0.359 0.500 La
0.606 0.606 0.000 La
0.641 0.141 0.160 La
0.859 0.019 0.500 La
0.894 0.894 0.000 La
0.981 0.481 0.840 La
0.027 0.290 0.500 Al
0.210 0.473 0.500 Al
0.250 0.250 0.000 Al
0.290 0.790 0.263 Al
0.473 0.973 0.263 Al
0.527 0.027 0.737 Al
0.710 0.210 0.737 Al
0.750 0.750 0.000 Al
0.790 0.527 0.500 Al
0.973 0.710 0.500 Al
0.000 0.500 0.500 Fe
0.069 0.211 0.280 Fe
0.121 0.621 0.852 Fe
0.211 0.931 0.142 Fe
0.231 0.731 0.852 Fe
0.269 0.121 0.500 Fe
0.289 0.431 0.720 Fe
0.379 0.231 0.500 Fe
0.431 0.711 0.142 Fe
0.500 0.000 0.500 Fe
0.569 0.289 0.858 Fe
0.621 0.769 0.500 Fe
0.711 0.569 0.280 Fe
0.731 0.879 0.500 Fe
0.769 0.269 0.148 Fe
0.789 0.069 0.858 Fe
0.879 0.379 0.148 Fe
0.931 0.789 0.720 Fe
```


Record 12
For LaIr2Rh4, DFT lattice parameters and positions (PBE) gives the simulated X-ray powder pattern in this record (Cu Kα X-rays).
Intensities are scaled so that the largest is 100.

Peak list (12 most intense, 5° ≤ 2θ ≤ 70°, sorted by position)
two_theta, intensity
18.8, 36.6
34.5, 48.8
38.1, 100.0
39.2, 90.2
42.8, 27.5
43.8, 73.2
44.2, 47.3
55.0, 23.3
55.8, 36.1
62.1, 12.8
68.1, 12.7
69.6, 33.5

```
LaIr2Rh4
1.0
4.249 -3.339 0.000
4.249 3.339 0.000
-3.247 0.000 4.134
La Ir Rh
1 2 4
Direct
0.000 0.000 0.000 La
0.499 0.499 0.249 Ir
0.501 0.501 0.751 Ir
0.000 0.401 0.700 Rh
0.000 0.599 0.300 Rh
0.401 0.000 0.700 Rh
0.599 0.000 0.300 Rh
```


Record 13
For Na4Sm2I9, DFT lattice parameters and positions (PBE) gives the simulated X-ray powder pattern in this record (Cu Kα X-rays).
Intensities are scaled so that the largest is 100.

Peak list (12 most intense, 5° ≤ 2θ ≤ 70°, sorted by position)
two_theta, intensity
12.6, 22.2
15.1, 11.5
24.7, 10.3
25.2, 100.0
33.3, 46.3
38.5, 38.2
43.9, 23.5
46.3, 9.8
46.6, 17.2
62.0, 13.3
65.5, 14.8
66.4, 11.3

```
Na4Sm2I9
1.0
8.093 0.000 0.000
4.046 7.009 0.000
0.002 0.007 21.602
Na Sm I
8 4 18
Direct
0.166 0.166 0.329 Na
0.166 0.167 0.015 Na
0.167 0.167 0.515 Na
0.167 0.167 0.830 Na
0.833 0.833 0.170 Na
0.833 0.833 0.485 Na
0.834 0.833 0.985 Na
0.834 0.834 0.671 Na
0.500 0.500 0.164 Sm
0.500 0.500 0.337 Sm
0.500 0.500 0.663 Sm
0.500 0.500 0.836 Sm
0.163 0.816 0.086 I
0.164 0.521 0.586 I
0.183 0.500 0.250 I
0.184 0.817 0.750 I
0.184 0.836 0.414 I
0.185 0.480 0.914 I
0.479 0.184 0.414 I
0.480 0.836 0.914 I
0.500 0.184 0.750 I
0.500 0.816 0.250 I
0.520 0.164 0.086 I
0.521 0.816 0.586 I
0.815 0.520 0.086 I
0.816 0.164 0.586 I
0.816 0.183 0.250 I
0.817 0.500 0.750 I
0.836 0.479 0.414 I
0.837 0.184 0.914 I
```